# 1
La2TbTmIn2: calculated X-ray diffraction stick pattern (λ = 1.5418 Å (Cu Kα)), based on a cell relaxed with GGA-PBE.
Peak positions follow from Bragg's law for the DFT cell and can differ from measured ones.

Largest 10 diffraction maxima, in order of rising 2θ, 2θ = 5–70°:
2θ/deg	I (rel.)	h k l
27.79	25	1 2 1
29.22	29	0 3 1
31.23	100	1 0 2
31.48	98	1 3 0
32.45	75	1 1 2
34.12	40	1 3 1
34.88	64	2 0 0
37.07	27	0 3 2
51.82	21	2 3 2
59.30	21	1 2 4

Cell and atoms:
```
data_La2TbTmIn2
_chemical_formula_sum 'La4 Tb2 Tm2 In4'
_symmetry_space_group_name_H-M 'P 1'
_symmetry_Int_Tables_number 1
_cell_length_a 5.1442
_cell_length_b 10.2262
_cell_length_c 6.9004
_cell_angle_alpha 90.00
_cell_angle_beta 90.00
_cell_angle_gamma 90.00
loop_
_symmetry_equiv_pos_as_xyz
'x,y,z'
loop_
_atom_site_label
_atom_site_type_symbol
_atom_site_fract_x
_atom_site_fract_y
_atom_site_fract_z
La1 La 0.0000 0.0588 0.0000
La2 La 0.0000 0.9412 0.5000
La3 La 0.5000 0.1801 0.2268
La4 La 0.5000 0.8199 0.7268
Tb1 Tb 0.5000 0.4589 0.8716
Tb2 Tb 0.5000 0.5411 0.3716
Tm1 Tm 0.0000 0.3101 0.5894
Tm2 Tm 0.0000 0.6899 0.0894
In1 In 0.0000 0.3870 0.1349
In2 In 0.0000 0.6130 0.6349
In3 In 0.5000 0.1515 0.7128
In4 In 0.5000 0.8485 0.2128
```

***

# 2
Sr2PuGeO6: calculated X-ray diffraction stick pattern (λ = 1.5418 Å (Cu Kα)), based on a cell relaxed with GGA-PBE.
Peak positions follow from Bragg's law for the DFT cell and can differ from measured ones.

Largest 10 diffraction maxima, in order of rising 2θ, 2θ = 5–70°:
2θ/deg	I (rel.)	h k l
10.72	16	0 0 1
21.32	18	1 0 0
23.92	35	1 0 1
30.32	55	1 1 0
30.49	100	1 0 2
43.42	34	2 0 0
45.09	15	1 1 3
53.98	42	2 1 2
54.28	15	1 1 4
63.45	16	2 0 4

Cell and atoms:
```
data_Sr2PuGeO6
_chemical_formula_sum 'Sr2 Pu1 Ge1 O6'
_symmetry_space_group_name_H-M 'P 1'
_symmetry_Int_Tables_number 1
_cell_length_a 4.1683
_cell_length_b 4.1683
_cell_length_c 8.2507
_cell_angle_alpha 90.00
_cell_angle_beta 90.00
_cell_angle_gamma 90.00
loop_
_symmetry_equiv_pos_as_xyz
'x,y,z'
loop_
_atom_site_label
_atom_site_type_symbol
_atom_site_fract_x
_atom_site_fract_y
_atom_site_fract_z
Sr1 Sr 0.0000 0.0000 0.2134
Sr2 Sr 0.0000 0.0000 0.7866
Pu1 Pu 0.5000 0.5000 0.5000
Ge1 Ge 0.5000 0.5000 0.0000
O1 O 0.0000 0.5000 0.0000
O2 O 0.0000 0.5000 0.5000
O3 O 0.5000 0.0000 0.0000
O4 O 0.5000 0.0000 0.5000
O5 O 0.5000 0.5000 0.2235
O6 O 0.5000 0.5000 0.7765
```